BaDyBi: calculated PXRD pattern (Cu Ka), based on DFT lattice parameters and positions (PBE).
Neutral-atom scattering factors, no anomalous dispersion.

Peak list (6 most intense, 2θ = 15–90°, in order of falling intensity)
(hkl)  2θ/deg  Rel. int.
1 0 3  28.90  100
1 1 0  31.08  57
2 1 3  53.95  36
1 0 5  38.58  25
2 0 0  44.52  21
2 1 5  60.35  14

Crystal structure
Cell: 4.0698 4.0698 14.2403 Å, 90.00 90.00 90.00°
Sites, in units of the cell vectors:
Ba: 0.0000 0.0000 0.1600
Ba: 0.0000 0.0000 0.8400
Dy: 0.5000 0.5000 0.3852
Dy: 0.5000 0.5000 0.6148
Bi: 0.0000 0.0000 0.5000
Bi: 0.5000 0.5000 0.0000